[1]
Simulated powder X-ray diffraction pattern
Compound: Ga5CuSe8
Radiation: Cu Ka
Structure: a PBE-relaxed structure

Principal peaks in the range 10 to 80 degrees two-theta, low angle first:
- 2θ 27.8, rel. 100
- 2θ 46.0, rel. 46
- 2θ 46.5, rel. 23
- 2θ 54.2, rel. 14
- 2θ 55.1, rel. 27
- 2θ 74.1, rel. 10

Lattice parameters (Å, degrees): 5.521 5.521 11.270 90.00 90.00 90.00
Space group P-42m (No. 111)
Inequivalent atoms, fractional coordinates:
Ga1 0.000 0.000 0.000
Ga2 0.000 0.500 0.255
Cu1 0.500 0.500 0.500
Se1 0.239 0.239 0.618
Se2 0.268 0.268 0.115

[2]
Simulated powder X-ray diffraction pattern
Compound: BaNa6O4
Radiation: Cu Ka
Structure: a PBE-relaxed structure

Principal peaks in the range 10 to 80 degrees two-theta, low angle first:
- 2θ 15.4, rel. 32
- 2θ 19.0, rel. 82
- 2θ 29.1, rel. 100
- 2θ 31.0, rel. 36
- 2θ 36.6, rel. 49
- 2θ 44.7, rel. 68

Lattice parameters (Å, degrees): 8.151 8.151 5.707 90.00 90.00 90.00
Space group P4_2/nmc (No. 137, origin choice 2)
Inequivalent atoms, fractional coordinates:
Ba1 0.250 0.750 0.250
Na1 0.037 0.537 0.750
Na2 0.250 0.250 0.224
O1 0.019 0.250 0.982

[3]
Simulated powder X-ray diffraction pattern
Compound: Cs2HgAsBr6
Radiation: Cu Ka
Structure: a PBE-relaxed structure

Principal peaks in the range 10 to 80 degrees two-theta, low angle first:
- 2θ 22.2, rel. 65
- 2θ 27.3, rel. 42
- 2θ 31.6, rel. 100
- 2θ 38.9, rel. 30
- 2θ 45.2, rel. 72
- 2θ 74.9, rel. 31

Lattice parameters (Å, degrees): 11.336 11.336 11.336 90.00 90.00 90.00
Space group Fm-3m (No. 225)
Inequivalent atoms, fractional coordinates:
Cs1 0.250 0.250 0.250
Hg1 0.000 0.000 0.000
As1 0.000 0.000 0.500
Br1 0.000 0.000 0.262

[4]
Simulated powder X-ray diffraction pattern
Compound: LiC
Radiation: Cu Ka
Structure: a PBE-relaxed structure

Principal peaks in the range 10 to 80 degrees two-theta, low angle first:
- 2θ 24.7, rel. 72
- 2θ 29.7, rel. 100
- 2θ 33.2, rel. 9
- 2θ 45.9, rel. 56
- 2θ 50.3, rel. 16
- 2θ 62.9, rel. 11

Lattice parameters (Å, degrees): 3.628 4.850 5.391 90.00 90.00 90.00
Space group Immm (No. 71)
Inequivalent atoms, fractional coordinates:
Li1 0.000 0.000 0.238
C1 0.000 0.370 0.000

[5]
Simulated powder X-ray diffraction pattern
Compound: Ce2Ge3Rh
Radiation: Cu Ka
Structure: a PBE-relaxed structure

Principal peaks in the range 10 to 80 degrees two-theta, low angle first:
- 2θ 32.7, rel. 100
- 2θ 33.2, rel. 50
- 2θ 41.2, rel. 25
- 2θ 42.3, rel. 46
- 2θ 53.9, rel. 25
- 2θ 63.8, rel. 27

Lattice parameters (Å, degrees): 3.992 4.384 7.339 90.00 90.00 90.00
Space group Pmm2 (No. 25)
Inequivalent atoms, fractional coordinates:
Ce1 0.000 0.000 0.000
Ce2 0.000 0.500 0.486
Ge1 0.500 0.000 0.656
Ge2 0.500 0.500 0.163
Ge3 0.500 0.500 0.825
Rh1 0.500 0.000 0.321

[6]
Simulated powder X-ray diffraction pattern
Compound: Lu2MgSe4
Radiation: Cu Ka
Structure: a PBE-relaxed structure

Principal peaks in the range 10 to 80 degrees two-theta, low angle first:
- 2θ 13.3, rel. 71
- 2θ 25.6, rel. 55
- 2θ 31.0, rel. 100
- 2θ 40.7, rel. 29
- 2θ 44.5, rel. 86
- 2θ 73.5, rel. 32

Lattice parameters (Å, degrees): 11.523 11.523 11.523 90.00 90.00 90.00
Space group Fd-3m (No. 227, origin choice 2)
Inequivalent atoms, fractional coordinates:
Lu1 0.000 0.000 0.000
Mg1 0.125 0.125 0.625
Se1 0.006 0.006 0.244